Diffraction record for K4CuBi3O8. The powder X-ray diffraction pattern is computed, not measured: it uses a cell relaxed with GGA-PBE and copper Kα.

The 10 most intense peaks (2θ from 10° to 90°), by intensity:
2θ (°)  I_rel
14.16  100
35.74  63
30.70  54
28.51  52
33.25  39
30.54  28
29.99  27
48.30  24
50.90  23
15.18  14

Structure:
Cell: 7.1933 7.1933 7.3203 Å, 117.08 117.08 57.53°
Element x y z (fractional)
K 0.0000 0.0000 0.0000
K 0.0000 0.5000 0.0000
K 0.5000 0.0000 0.0000
K 0.5000 0.5000 0.0000
Cu 0.0000 0.0000 0.5000
Bi 0.0000 0.5000 0.5000
Bi 0.5000 0.0000 0.5000
Bi 0.5000 0.5000 0.5000
O 0.1867 0.7569 0.6637
O 0.2431 0.8133 0.3363
O 0.2693 0.2693 0.2927
O 0.2692 0.2692 0.7267
O 0.7308 0.7308 0.2733
O 0.7307 0.7307 0.7073
O 0.7569 0.1867 0.6637
O 0.8133 0.2431 0.3363